Diffraction record for MgTa2. The powder X-ray diffraction pattern is calculated, not measured: it uses DFT lattice parameters and positions (GGA-PBE) and λ = 1.5418 Å (Cu Kα).

Most intense lines, 2θ = 10–80°, low angle first:
Position (°2θ), d (Å), intensity
20.93, 4.244, 64
36.68, 2.450, 99
39.76, 2.267, 100
42.61, 2.122, 10
55.20, 1.664, 39
57.46, 1.604, 9
66.05, 1.415, 18
68.12, 1.377, 41
74.16, 1.279, 12
78.00, 1.225, 11

Unit cell a=4.9000 b=4.9000 c=2.6820 alpha=90.00 beta=90.00 gamma=120.00
Space group P-3m1 (No. 164)
Symmetry-distinct sites (fractional):
Mg: 0.0000 0.0000 0.0000 [1 per cell]
Ta: 0.3333 0.6667 0.3054 [2 per cell]

=====

Diffraction record for La3Ni8Pt. The powder X-ray diffraction pattern is calculated, not measured: it uses DFT lattice parameters and positions (GGA-PBE) and λ = 1.5418 Å (Cu Kα).

Most intense lines, 2θ = 10–80°, low angle first:
Position (°2θ), d (Å), intensity
34.83, 2.576, 56
35.31, 2.542, 58
41.16, 2.193, 17
41.43, 2.179, 100
41.64, 2.169, 19
44.28, 2.046, 20
44.87, 2.020, 24
63.07, 1.474, 20
67.56, 1.387, 23
74.69, 1.271, 21

Unit cell a=5.0833 b=5.0833 c=25.4148 alpha=90.00 beta=90.00 gamma=120.00
Space group R-3m (No. 166, hexagonal axes)
Symmetry-distinct sites (fractional):
La: 0.0000 0.0000 0.0000 [3 per cell]
La: 0.0000 0.0000 0.1362 [6 per cell]
Ni: 0.0000 0.0000 0.3327 [6 per cell]
Ni: 0.0016 0.5008 0.9214 [18 per cell]
Pt: 0.0000 0.0000 0.5000 [3 per cell]

=====

Diffraction record for TbGeHO4. The powder X-ray diffraction pattern is calculated, not measured: it uses DFT lattice parameters and positions (GGA-PBE) and λ = 1.5418 Å (Cu Kα).

Most intense lines, 2θ = 10–80°, low angle first:
Position (°2θ), d (Å), intensity
17.94, 4.945, 38
24.50, 3.633, 94
25.84, 3.448, 100
29.96, 2.982, 46
30.27, 2.952, 51
34.51, 2.599, 48
34.82, 2.576, 26
35.33, 2.541, 52
50.78, 1.798, 22
54.18, 1.693, 25

Unit cell a=7.874 b=6.749 c=6.908 alpha=90.00 beta=112.66 gamma=90.00
Space group P2_1/c (No. 14)
Symmetry-distinct sites (fractional):
Tb: 0.207 0.140 0.102 [4 per cell]
Ge: 0.243 0.608 0.127 [4 per cell]
H: 0.467 0.682 0.881 [4 per cell]
O: 0.100 0.686 0.549 [4 per cell]
O: 0.190 0.074 0.774 [4 per cell]
O: 0.281 0.040 0.439 [4 per cell]
O: 0.470 0.708 0.287 [4 per cell]

=====

Diffraction record for LiAg2P3H2O10. The powder X-ray diffraction pattern is calculated, not measured: it uses DFT lattice parameters and positions (GGA-PBE) and λ = 1.5418 Å (Cu Kα).

Most intense lines, 2θ = 10–80°, low angle first:
Position (°2θ), d (Å), intensity
12.65, 6.996, 100
23.34, 3.811, 22
25.32, 3.517, 28
25.49, 3.494, 24
28.43, 3.139, 54
30.11, 2.968, 32
31.46, 2.843, 37
31.68, 2.824, 20
32.64, 2.744, 26
34.38, 2.609, 27

Unit cell a=7.506 b=7.557 c=8.340 alpha=72.38 beta=74.27 gamma=72.17
Space group P-1 (No. 2)
Symmetry-distinct sites (fractional):
Li: 0.088 0.288 0.336 [2 per cell]
Ag: 0.341 0.560 0.401 [2 per cell]
Ag: 0.416 0.291 0.992 [2 per cell]
P: 0.096 0.715 0.091 [2 per cell]
P: 0.264 0.758 0.729 [2 per cell]
P: 0.266 0.174 0.673 [2 per cell]
H: 0.221 0.006 0.183 [2 per cell]
H: 0.376 0.987 0.279 [2 per cell]
O: 0.093 0.792 0.888 [2 per cell]
O: 0.113 0.505 0.147 [2 per cell]
O: 0.119 0.165 0.854 [2 per cell]
O: 0.167 0.299 0.530 [2 per cell]
O: 0.174 0.737 0.598 [2 per cell]
O: 0.234 0.795 0.134 [2 per cell]
O: 0.269 0.085 0.229 [2 per cell]
O: 0.330 0.955 0.660 [2 per cell]
O: 0.432 0.607 0.792 [2 per cell]
O: 0.441 0.214 0.696 [2 per cell]

=====

Diffraction record for SmFeC. The powder X-ray diffraction pattern is calculated, not measured: it uses DFT lattice parameters and positions (GGA-PBE) and λ = 1.5418 Å (Cu Kα).

Most intense lines, 2θ = 10–80°, low angle first:
Position (°2θ), d (Å), intensity
30.66, 2.916, 100
31.68, 2.824, 74
32.49, 2.756, 42
33.84, 2.649, 88
35.36, 2.539, 20
41.06, 2.198, 35
44.81, 2.022, 23
50.05, 1.822, 23
59.81, 1.546, 22
61.79, 1.501, 30

Unit cell a=3.645 b=5.795 c=8.935 alpha=90.00 beta=90.00 gamma=90.00
Space group P2_12_12_1 (No. 19)
Symmetry-distinct sites (fractional):
Sm: 0.250 0.186 0.173 [4 per cell]
Fe: 0.249 0.630 0.039 [4 per cell]
C: 0.249 0.928 0.944 [4 per cell]

=====

Diffraction record for ZrTe2Pd. The powder X-ray diffraction pattern is calculated, not measured: it uses DFT lattice parameters and positions (GGA-PBE) and λ = 1.5418 Å (Cu Kα).

Most intense lines, 2θ = 10–80°, low angle first:
Position (°2θ), d (Å), intensity
11.55, 7.661, 100
25.90, 3.440, 26
26.80, 3.326, 30
27.48, 3.245, 27
33.43, 2.680, 34
35.06, 2.559, 48
35.73, 2.513, 34
41.86, 2.158, 25
42.61, 2.122, 25
46.24, 1.963, 21

Unit cell a=8.642 b=6.880 c=8.573 alpha=90.00 beta=117.57 gamma=90.00
Space group P2_1/c (No. 14)
Symmetry-distinct sites (fractional):
Zr: 0.028 0.028 0.312 [4 per cell]
Te: 0.221 0.240 0.655 [4 per cell]
Te: 0.310 0.747 0.401 [4 per cell]
Pd: 0.113 0.654 0.561 [4 per cell]

=====

Diffraction record for La2Cd4CuIr. The powder X-ray diffraction pattern is calculated, not measured: it uses DFT lattice parameters and positions (GGA-PBE) and λ = 1.5418 Å (Cu Kα).

Most intense lines, 2θ = 10–80°, low angle first:
Position (°2θ), d (Å), intensity
31.06, 2.880, 100
33.90, 2.644, 22
35.58, 2.523, 71
36.58, 2.456, 24
37.21, 2.416, 28
39.36, 2.289, 34
40.25, 2.240, 26
41.73, 2.165, 20
42.23, 2.140, 36
57.54, 1.602, 19

Unit cell a=8.438 b=4.280 c=10.088 alpha=90.00 beta=90.00 gamma=90.00
Space group Amm2 (No. 38)
Symmetry-distinct sites (fractional):
La: 0.000 0.000 0.000 [2 per cell]
La: 0.500 0.000 0.127 [2 per cell]
Cd: 0.197 0.000 0.707 [4 per cell]
Cd: 0.294 0.000 0.415 [4 per cell]
Cu: 0.000 0.000 0.290 [2 per cell]
Ir: 0.500 0.000 0.843 [2 per cell]

=====

Diffraction record for Lu2Fe17. The powder X-ray diffraction pattern is calculated, not measured: it uses DFT lattice parameters and positions (GGA-PBE) and λ = 1.5418 Å (Cu Kα).

Most intense lines, 2θ = 10–80°, low angle first:
Position (°2θ), d (Å), intensity
30.63, 2.919, 43
37.54, 2.396, 43
41.46, 2.178, 27
43.62, 2.075, 54
43.74, 2.069, 100
44.11, 2.053, 30
47.13, 1.928, 14
63.49, 1.465, 14
63.77, 1.459, 17
72.04, 1.311, 18

Unit cell a=8.3001 b=8.3001 c=8.2127 alpha=90.00 beta=90.00 gamma=120.00
Space group P6_3/mmc (No. 194)
Symmetry-distinct sites (fractional):
Lu: 0.0000 0.0000 0.2500 [2 per cell]
Lu: 0.3333 0.6667 0.2500 [2 per cell]
Fe: 0.0000 0.5000 0.0000 [6 per cell]
Fe: 0.0336 0.3625 0.7500 [12 per cell]
Fe: 0.1654 0.3307 0.0142 [12 per cell]
Fe: 0.3333 0.6667 0.6074 [4 per cell]